Record 1
Structure and simulated X-ray powder pattern of Dy2HoSe4 (the GGA-PBE geometry in Alexandria; a wavelength of 1.5418 Å).
Lines closer than 0.1° are merged.

Structure:
Unit cell a=7.0052 b=7.0052 c=13.7860 alpha=90.00 beta=90.00 gamma=147.21
Sites, in units of the cell vectors:
Dy 0.1300 0.8700 0.5701
Dy 0.1300 0.8700 0.9299
Dy 0.8700 0.1300 0.0701
Dy 0.8700 0.1300 0.4299
Ho 0.3722 0.6278 0.7500
Ho 0.6278 0.3722 0.2500
Se 0.0270 0.9730 0.7500
Se 0.2224 0.7776 0.1228
Se 0.2224 0.7776 0.3772
Se 0.5000 0.5000 0.0000
Se 0.5000 0.5000 0.5000
Se 0.7776 0.2224 0.6228
Se 0.7776 0.2224 0.8772
Se 0.9730 0.0270 0.2500

Peak list (10 most intense, 15° ≤ 2θ ≤ 90°, in order of rising 2θ)
d/Å, Rel. int.
3.793, 100
3.067, 30
2.898, 61
2.723, 86
2.230, 47
2.116, 28
2.014, 39
1.977, 30
1.753, 21
1.411, 25

Record 2
Structure and simulated X-ray powder pattern of HfNi2S (the GGA-PBE geometry in Alexandria; a wavelength of 1.5418 Å).
Lines closer than 0.1° are merged.

Structure:
Unit cell a=7.6611 b=7.6611 c=7.6611 alpha=147.99 beta=147.99 gamma=45.90
Sites, in units of the cell vectors:
Hf 0.0000 0.0000 0.0000
Hf 0.7500 0.2500 0.5000
Ni 0.2446 0.6250 0.1196
Ni 0.3750 0.4946 0.6196
Ni 0.5054 0.1250 0.8804
Ni 0.8750 0.7554 0.3804
S 0.2500 0.7500 0.5000
S 0.5000 0.5000 0.0000

Peak list (10 most intense, 15° ≤ 2θ ≤ 90°, in order of rising 2θ)
d/Å, Rel. int.
4.047, 14
3.143, 56
2.751, 100
2.347, 26
1.872, 31
1.848, 31
1.812, 42
1.764, 14
1.313, 17
1.162, 11